1.
FeIr5Pt2: calculated powder diffractogram (a wavelength of 1.5418 Å), based on DFT lattice parameters and positions (GGA-PBE).
Neutral-atom scattering factors, no anomalous dispersion.

Top 12 peaks for 2θ = 10–90°, low angle first:
two_theta, I (rel.)
23.69, 3.4
28.80, 2.2
34.76, 2.9
40.32, 100.0
46.78, 15.8
46.96, 32.9
68.45, 20.4
68.59, 10.7
69.59, 1.9
82.41, 11.7
82.68, 25.8
87.14, 11.1

Cell and atoms:
```
FeIr5Pt2
1.0
3.870 0.000 0.000
0.000 3.870 0.000
0.000 0.000 15.535
Fe Ir Pt
2 10 4
direct
0.000 0.000 0.000
0.500 0.500 0.500
0.000 0.000 0.500
0.000 0.500 0.119
0.000 0.500 0.381
0.000 0.500 0.619
0.000 0.500 0.881
0.500 0.000 0.119
0.500 0.000 0.381
0.500 0.000 0.619
0.500 0.000 0.881
0.500 0.500 0.000
0.000 0.000 0.250
0.000 0.000 0.750
0.500 0.500 0.250
0.500 0.500 0.750
```

2.
Fe2IrPt: calculated powder diffractogram (a wavelength of 1.5418 Å), based on DFT lattice parameters and positions (GGA-PBE).
Neutral-atom scattering factors, no anomalous dispersion.

Top 12 peaks for 2θ = 10–90°, low angle first:
two_theta, I (rel.)
23.88, 28.0
33.13, 25.0
41.25, 100.0
47.56, 33.2
48.89, 15.2
53.90, 13.6
60.33, 9.9
69.54, 10.5
70.59, 20.0
84.18, 25.3
86.17, 11.9
89.59, 11.1

Cell and atoms:
```
Fe2IrPt
1.0
2.704 0.000 0.000
0.000 2.704 0.000
0.000 0.000 7.452
Fe Ir Pt
2 1 1
direct
0.000 0.000 0.244
0.000 0.000 0.756
0.500 0.500 0.000
0.500 0.500 0.500
```

3.
Fe2Ir4Pt: calculated powder diffractogram (a wavelength of 1.5418 Å), based on DFT lattice parameters and positions (GGA-PBE).
Neutral-atom scattering factors, no anomalous dispersion.

Top 12 peaks for 2θ = 10–90°, low angle first:
two_theta, I (rel.)
17.03, 8.6
22.01, 26.1
29.29, 30.0
38.68, 72.0
43.42, 100.0
44.94, 20.6
49.53, 10.9
52.75, 10.7
55.85, 8.7
62.41, 11.5
69.06, 9.2
78.46, 27.3

Cell and atoms:
```
Fe2Ir4Pt
1.0
-3.681 3.681 4.038
3.681 -3.681 4.038
3.681 3.681 -4.038
Fe Ir Pt
4 8 2
direct
0.148 0.648 0.797
0.352 0.148 0.500
0.648 0.852 0.500
0.852 0.352 0.203
0.013 0.810 0.500
0.190 0.690 0.203
0.310 0.513 0.500
0.487 0.987 0.797
0.513 0.013 0.203
0.690 0.487 0.500
0.810 0.310 0.797
0.987 0.190 0.500
0.250 0.250 0.000
0.750 0.750 0.000
```

4.
Fe2IrPt4: calculated powder diffractogram (a wavelength of 1.5418 Å), based on DFT lattice parameters and positions (GGA-PBE).
Neutral-atom scattering factors, no anomalous dispersion.

Top 12 peaks for 2θ = 10–90°, low angle first:
two_theta, I (rel.)
15.95, 30.2
32.03, 24.2
37.91, 12.4
39.57, 100.0
42.95, 11.7
44.37, 35.4
47.44, 10.0
53.38, 9.1
64.60, 16.3
78.62, 9.0
81.94, 12.0
85.03, 18.0

Cell and atoms:
```
Fe2IrPt4
1.0
-3.228 3.228 5.556
3.228 -3.228 5.556
3.228 3.228 -5.556
Fe Ir Pt
4 2 8
direct
0.146 0.646 0.792
0.354 0.146 0.500
0.646 0.854 0.500
0.854 0.354 0.208
0.250 0.250 0.000
0.750 0.750 0.000
0.001 0.189 0.500
0.189 0.689 0.189
0.311 0.499 0.500
0.499 0.999 0.189
0.501 0.001 0.811
0.689 0.501 0.500
0.811 0.311 0.811
0.999 0.811 0.500
```

5.
Fe2IrPt: calculated powder diffractogram (a wavelength of 1.5418 Å), based on DFT lattice parameters and positions (GGA-PBE).
Neutral-atom scattering factors, no anomalous dispersion.

Top 12 peaks for 2θ = 10–90°, low angle first:
two_theta, I (rel.)
24.18, 27.1
32.91, 25.4
41.25, 100.0
47.23, 33.8
49.52, 14.7
53.75, 13.6
60.75, 9.6
69.02, 10.7
70.84, 19.9
83.69, 25.6
87.13, 11.7
89.59, 11.1

Cell and atoms:
```
Fe2IrPt
1.0
3.849 0.000 0.000
0.000 3.849 0.000
0.000 0.000 3.681
Fe Ir Pt
2 1 1
direct
0.000 0.500 0.000
0.500 0.000 0.000
0.000 0.000 0.500
0.500 0.500 0.500
```

6.
FeIrPt: calculated powder diffractogram (a wavelength of 1.5418 Å), based on DFT lattice parameters and positions (GGA-PBE).
Neutral-atom scattering factors, no anomalous dispersion.

Top 12 peaks for 2θ = 10–90°, low angle first:
two_theta, I (rel.)
15.55, 13.2
31.39, 9.7
33.92, 18.7
40.83, 100.0
47.31, 33.4
47.88, 15.0
57.88, 7.3
69.14, 10.7
69.59, 19.5
83.53, 25.5
84.37, 10.7
88.47, 10.7

Cell and atoms:
```
FeIrPt
1.0
2.717 0.000 0.000
0.000 2.717 0.000
0.000 0.000 11.399
Fe Ir Pt
2 2 2
direct
0.000 0.000 0.000
0.500 0.500 0.500
0.000 0.000 0.346
0.500 0.500 0.846
0.000 0.000 0.664
0.500 0.500 0.164
```